Computed powder XRD pattern
Compound: La2BiTe
Radiation: copper Kα
Structure: a structure optimized by DFT (PBE)
Neutral-atom scattering factors, no anomalous dispersion.

Principal peaks in the range 10° ≤ 2θ ≤ 90°, low angle first:
- 2θ = 23.80°, d = 3.739 Å, I 48
- 2θ = 29.27°, d = 3.051 Å, I 100
- 2θ = 34.56°, d = 2.595 Å, I 54
- 2θ = 39.70°, d = 2.270 Å, I 57
- 2θ = 50.08°, d = 1.821 Å, I 23
- 2θ = 61.54°, d = 1.507 Å, I 30

Structure:
abc: 8.475 8.475 8.475
angles: 31.08 31.08 31.08
Element x y z (fractional)
1 La 0.000 0.000 0.000
2 La 0.173 0.173 0.173
3 Bi 0.588 0.588 0.588
4 Te 0.419 0.419 0.419

=====

Computed powder XRD pattern
Compound: La2ThBi3
Radiation: copper Kα
Structure: a structure optimized by DFT (PBE)
Neutral-atom scattering factors, no anomalous dispersion.

Principal peaks in the range 10° ≤ 2θ ≤ 90°, low angle first:
- 2θ = 27.03°, d = 3.298 Å, I 100
- 2θ = 38.60°, d = 2.332 Å, I 79
- 2θ = 47.76°, d = 1.904 Å, I 29
- 2θ = 55.74°, d = 1.649 Å, I 14
- 2θ = 63.02°, d = 1.475 Å, I 38
- 2θ = 69.85°, d = 1.347 Å, I 28

Structure:
abc: 15.479 14.760 8.077
angles: 79.49 69.64 30.87
Element x y z (fractional)
1 La 0.042 0.042 0.208
2 La 0.124 0.124 0.626
3 La 0.208 0.208 0.042
4 La 0.374 0.374 0.876
5 La 0.626 0.626 0.124
6 La 0.792 0.792 0.958
7 La 0.876 0.876 0.374
8 La 0.958 0.958 0.792
9 Th 0.291 0.291 0.459
10 Th 0.459 0.459 0.291
11 Th 0.541 0.541 0.709
12 Th 0.709 0.709 0.541
13 Bi 0.041 0.541 0.214
14 Bi 0.130 0.620 0.620
15 Bi 0.214 0.704 0.041
16 Bi 0.296 0.786 0.459
17 Bi 0.380 0.870 0.870
18 Bi 0.459 0.959 0.296
19 Bi 0.541 0.041 0.704
20 Bi 0.620 0.130 0.130
21 Bi 0.704 0.214 0.541
22 Bi 0.786 0.296 0.959
23 Bi 0.870 0.380 0.380
24 Bi 0.959 0.459 0.786

=====

Computed powder XRD pattern
Compound: La5TlBi3
Radiation: copper Kα
Structure: a structure optimized by DFT (PBE)
Neutral-atom scattering factors, no anomalous dispersion.

Principal peaks in the range 10° ≤ 2θ ≤ 90°, low angle first:
- 2θ = 30.29°, d = 2.951 Å, I 51
- 2θ = 30.94°, d = 2.890 Å, I 90
- 2θ = 31.87°, d = 2.808 Å, I 100
- 2θ = 45.01°, d = 2.014 Å, I 29
- 2θ = 55.62°, d = 1.652 Å, I 21
- 2θ = 63.60°, d = 1.463 Å, I 23

Structure:
abc: 10.012 10.012 6.785
angles: 90.00 90.00 120.00
Element x y z (fractional)
1 La 0.000 0.274 0.250
2 La 0.000 0.726 0.750
3 La 0.274 0.000 0.250
4 La 0.274 0.274 0.750
5 La 0.333 0.667 0.000
6 La 0.333 0.667 0.500
7 La 0.667 0.333 0.000
8 La 0.667 0.333 0.500
9 La 0.726 0.000 0.750
10 La 0.726 0.726 0.250
11 Tl 0.000 0.000 0.000
12 Tl 0.000 0.000 0.500
13 Bi 0.000 0.379 0.750
14 Bi 0.000 0.621 0.250
15 Bi 0.379 0.000 0.750
16 Bi 0.379 0.379 0.250
17 Bi 0.621 0.000 0.250
18 Bi 0.621 0.621 0.750

=====

Computed powder XRD pattern
Compound: La3Tl2Bi
Radiation: copper Kα
Structure: a structure optimized by DFT (PBE)
Neutral-atom scattering factors, no anomalous dispersion.

Principal peaks in the range 10° ≤ 2θ ≤ 90°, low angle first:
- 2θ = 31.19°, d = 2.868 Å, I 100
- 2θ = 32.70°, d = 2.739 Å, I 21
- 2θ = 32.94°, d = 2.719 Å, I 22
- 2θ = 47.10°, d = 1.930 Å, I 16
- 2θ = 57.41°, d = 1.605 Å, I 16
- 2θ = 57.73°, d = 1.597 Å, I 18

Structure:
abc: 5.438 16.433 4.286
angles: 90.00 90.00 90.00
Element x y z (fractional)
1 La 0.250 0.088 0.002
2 La 0.250 0.412 0.002
3 La 0.250 0.750 0.997
4 La 0.750 0.250 0.003
5 La 0.750 0.588 0.998
6 La 0.750 0.912 0.998
7 Tl 0.250 0.575 0.499
8 Tl 0.250 0.925 0.499
9 Tl 0.750 0.075 0.501
10 Tl 0.750 0.425 0.501
11 Bi 0.250 0.250 0.503
12 Bi 0.750 0.750 0.497

=====

Computed powder XRD pattern
Compound: La6TlBi
Radiation: copper Kα
Structure: a structure optimized by DFT (PBE)
Neutral-atom scattering factors, no anomalous dispersion.

Principal peaks in the range 10° ≤ 2θ ≤ 90°, low angle first:
- 2θ = 30.54°, d = 2.928 Å, I 100
- 2θ = 35.33°, d = 2.540 Å, I 34
- 2θ = 35.55°, d = 2.525 Å, I 17
- 2θ = 50.99°, d = 1.791 Å, I 24
- 2θ = 60.47°, d = 1.531 Å, I 29
- 2θ = 60.75°, d = 1.525 Å, I 14

Structure:
abc: 5.081 5.081 10.102
angles: 90.00 90.00 90.00
Element x y z (fractional)
1 La 0.000 0.000 0.000
2 La 0.000 0.000 0.500
3 La 0.000 0.500 0.249
4 La 0.000 0.500 0.751
5 La 0.500 0.000 0.249
6 La 0.500 0.000 0.751
7 Tl 0.500 0.500 0.500
8 Bi 0.500 0.500 0.000

=====

Computed powder XRD pattern
Compound: LaTl2Bi2
Radiation: copper Kα
Structure: a structure optimized by DFT (PBE)
Neutral-atom scattering factors, no anomalous dispersion.

Principal peaks in the range 10° ≤ 2θ ≤ 90°, low angle first:
- 2θ = 30.14°, d = 2.965 Å, I 22
- 2θ = 30.93°, d = 2.891 Å, I 100
- 2θ = 38.27°, d = 2.352 Å, I 15
- 2θ = 38.62°, d = 2.331 Å, I 15
- 2θ = 54.02°, d = 1.697 Å, I 13
- 2θ = 64.65°, d = 1.442 Å, I 13

Structure:
abc: 15.012 15.012 4.663
angles: 90.00 90.00 161.97
Element x y z (fractional)
1 La 0.163 0.837 0.750
2 La 0.837 0.163 0.250
3 Tl 0.051 0.949 0.250
4 Tl 0.449 0.551 0.250
5 Tl 0.551 0.449 0.750
6 Tl 0.949 0.051 0.750
7 Bi 0.250 0.750 0.250
8 Bi 0.363 0.637 0.750
9 Bi 0.637 0.363 0.250
10 Bi 0.750 0.250 0.750

=====

Computed powder XRD pattern
Compound: LaTlBi3
Radiation: copper Kα
Structure: a structure optimized by DFT (PBE)
Neutral-atom scattering factors, no anomalous dispersion.

Principal peaks in the range 10° ≤ 2θ ≤ 90°, low angle first:
- 2θ = 30.14°, d = 2.965 Å, I 100
- 2θ = 31.54°, d = 2.837 Å, I 91
- 2θ = 32.61°, d = 2.746 Å, I 36
- 2θ = 33.79°, d = 2.652 Å, I 38
- 2θ = 40.47°, d = 2.229 Å, I 25
- 2θ = 53.72°, d = 1.706 Å, I 21

Structure:
abc: 8.483 4.458 8.639
angles: 90.00 94.69 90.00
Element x y z (fractional)
1 La 0.229 0.250 0.263
2 La 0.771 0.750 0.737
3 Tl 0.435 0.250 0.857
4 Tl 0.565 0.750 0.143
5 Bi 0.062 0.250 0.623
6 Bi 0.131 0.750 0.955
7 Bi 0.384 0.750 0.550
8 Bi 0.616 0.250 0.450
9 Bi 0.869 0.250 0.045
10 Bi 0.938 0.750 0.377

=====

Computed powder XRD pattern
Compound: La8Tl3Bi2
Radiation: copper Kα
Structure: a structure optimized by DFT (PBE)
Neutral-atom scattering factors, no anomalous dispersion.

Principal peaks in the range 10° ≤ 2θ ≤ 90°, low angle first:
- 2θ = 32.17°, d = 2.782 Å, I 100
- 2θ = 32.85°, d = 2.726 Å, I 24
- 2θ = 33.73°, d = 2.657 Å, I 23
- 2θ = 47.80°, d = 1.903 Å, I 17
- 2θ = 58.23°, d = 1.585 Å, I 18
- 2θ = 59.36°, d = 1.557 Å, I 18

Structure:
abc: 9.811 9.811 5.314
angles: 90.00 90.00 112.48
Element x y z (fractional)
1 La 0.114 0.886 0.000
2 La 0.131 0.384 0.500
3 La 0.368 0.632 0.000
4 La 0.384 0.131 0.500
5 La 0.616 0.869 0.500
6 La 0.632 0.368 0.000
7 La 0.869 0.616 0.500
8 La 0.886 0.114 0.000
9 Tl 0.254 0.254 0.000
10 Tl 0.500 0.500 0.500
11 Tl 0.746 0.746 0.000
12 Bi 0.238 0.762 0.500
13 Bi 0.762 0.238 0.500

=====

Computed powder XRD pattern
Compound: La2TmBi3
Radiation: copper Kα
Structure: a structure optimized by DFT (PBE)
Neutral-atom scattering factors, no anomalous dispersion.

Principal peaks in the range 10° ≤ 2θ ≤ 90°, low angle first:
- 2θ = 27.23°, d = 3.274 Å, I 85
- 2θ = 27.37°, d = 3.258 Å, I 42
- 2θ = 38.96°, d = 2.312 Å, I 100
- 2θ = 48.22°, d = 1.887 Å, I 36
- 2θ = 63.57°, d = 1.464 Å, I 32
- 2θ = 70.50°, d = 1.336 Å, I 24

Structure:
abc: 10.309 10.309 10.309
angles: 154.04 154.04 37.04
Element x y z (fractional)
1 La 0.167 0.167 0.000
2 La 0.833 0.833 0.000
3 Tm 0.500 0.500 0.000
4 Bi 0.000 0.000 0.000
5 Bi 0.338 0.338 0.000
6 Bi 0.662 0.662 0.000

=====

Computed powder XRD pattern
Compound: LaYBi
Radiation: copper Kα
Structure: a structure optimized by DFT (PBE)
Neutral-atom scattering factors, no anomalous dispersion.

Principal peaks in the range 10° ≤ 2θ ≤ 90°, low angle first:
- 2θ = 26.95°, d = 3.308 Å, I 50
- 2θ = 28.75°, d = 3.106 Å, I 52
- 2θ = 33.60°, d = 2.667 Å, I 100
- 2θ = 35.51°, d = 2.528 Å, I 43
- 2θ = 38.48°, d = 2.339 Å, I 59
- 2θ = 66.52°, d = 1.406 Å, I 28

Structure:
abc: 4.679 4.679 9.014
angles: 90.00 90.00 90.00
Element x y z (fractional)
1 La 0.250 0.250 0.150
2 La 0.750 0.750 0.850
3 Y 0.250 0.750 0.500
4 Y 0.750 0.250 0.500
5 Bi 0.250 0.250 0.769
6 Bi 0.750 0.750 0.231

=====

Computed powder XRD pattern
Compound: La5YBi4
Radiation: copper Kα
Structure: a structure optimized by DFT (PBE)
Neutral-atom scattering factors, no anomalous dispersion.

Principal peaks in the range 10° ≤ 2θ ≤ 90°, low angle first:
- 2θ = 27.94°, d = 3.193 Å, I 100
- 2θ = 39.51°, d = 2.281 Å, I 26
- 2θ = 39.70°, d = 2.270 Å, I 13
- 2θ = 40.34°, d = 2.236 Å, I 26
- 2θ = 49.24°, d = 1.850 Å, I 14
- 2θ = 57.75°, d = 1.596 Å, I 14

Structure:
abc: 10.161 10.161 8.985
angles: 104.33 104.33 25.82
Element x y z (fractional)
1 La 0.000 0.000 0.000
2 La 0.326 0.326 0.153
3 La 0.335 0.335 0.678
4 La 0.665 0.665 0.322
5 La 0.674 0.674 0.847
6 Y 0.000 0.000 0.500
7 Bi 0.166 0.166 0.583
8 Bi 0.494 0.494 0.253
9 Bi 0.506 0.506 0.747
10 Bi 0.834 0.834 0.417

=====

Computed powder XRD pattern
Compound: LaYBi
Radiation: copper Kα
Structure: a structure optimized by DFT (PBE)
Neutral-atom scattering factors, no anomalous dispersion.

Principal peaks in the range 10° ≤ 2θ ≤ 90°, low angle first:
- 2θ = 31.11°, d = 2.875 Å, I 100
- 2θ = 31.77°, d = 2.817 Å, I 18
- 2θ = 35.80°, d = 2.508 Å, I 19
- 2θ = 40.22°, d = 2.242 Å, I 14
- 2θ = 54.93°, d = 1.672 Å, I 11
- 2θ = 61.43°, d = 1.509 Å, I 14

Structure:
abc: 8.743 8.743 5.016
angles: 90.00 90.00 150.28
Element x y z (fractional)
1 La 0.075 0.925 0.750
2 La 0.925 0.075 0.250
3 Y 0.252 0.748 0.250
4 Y 0.748 0.252 0.750
5 Bi 0.394 0.606 0.750
6 Bi 0.606 0.394 0.250